Entry 1:
Diffraction record for LiNdSn4. The X-ray powder pattern is theoretical, not measured: it uses a crystal structure in Alexandria, relaxed with PBE and Cu Kα, 1.54184 Å.
Neutral-atom scattering factors, no anomalous dispersion.

Atomic structure:
```
6
Lattice="0.0000 4.3736 4.3736 4.3736 0.0000 4.3736 4.3736 4.3736 0.0000" Properties=species:S:1:pos:R:3 pbc="T T T"
Li 0.0000 0.0000 0.0000
Nd 2.1868 2.1868 2.1868
Sn 5.4682 3.2789 3.2789
Sn 3.2789 5.4682 3.2789
Sn 3.2789 3.2789 5.4682
Sn 5.4682 5.4682 5.4682
```

Top 10 peaks for 2θ from 10° to 80°, by angle:
- 17.56°, d = 5.050 Å, I 36
- 20.30°, d = 4.374 Å, I 14
- 28.87°, d = 3.093 Å, I 13
- 33.99°, d = 2.637 Å, I 100
- 35.55°, d = 2.525 Å, I 58
- 41.29°, d = 2.187 Å, I 13
- 54.51°, d = 1.683 Å, I 35
- 59.81°, d = 1.546 Å, I 31
- 70.61°, d = 1.334 Å, I 13
- 71.55°, d = 1.319 Å, I 24

=====

Entry 2:
Diffraction record for MgGa6Tc2. The X-ray powder pattern is theoretical, not measured: it uses a crystal structure in Alexandria, relaxed with PBE and Cu Kα, 1.54184 Å.
Neutral-atom scattering factors, no anomalous dispersion.

Atomic structure:
```
9
Lattice="-1.6525 3.3975 6.5317 1.6525 -3.3975 6.5317 1.6525 3.3975 -6.5317" Properties=species:S:1:pos:R:3 pbc="T T T"
Mg 0.0000 0.0000 0.0000
Ga 1.6525 1.2999 -2.3600
Ga 1.6525 2.1859 0.0000
Ga 1.6525 1.2999 2.3600
Ga 0.0000 2.0976 4.1717
Ga 0.0000 1.2116 6.5317
Ga 0.0000 2.0976 8.8916
Tc 1.6525 0.0000 4.7630
Tc 0.0000 3.3975 1.7687
```

Top 10 peaks for 2θ from 10° to 80°, by angle:
- 14.69°, d = 6.028 Å, I 76
- 30.07°, d = 2.972 Å, I 40
- 33.12°, d = 2.705 Å, I 45
- 38.63°, d = 2.331 Å, I 100
- 41.06°, d = 2.198 Å, I 66
- 41.47°, d = 2.177 Å, I 44
- 43.49°, d = 2.081 Å, I 41
- 44.19°, d = 2.050 Å, I 59
- 45.12°, d = 2.009 Å, I 95
- 74.32°, d = 1.276 Å, I 41